The following is a computed X-ray diffraction stick pattern of CaNd2Cu4O8. It was derived from the PBE geometry in Alexandria, using Cu Ka.
Neutral-atom scattering factors, no anomalous dispersion.

Cell and atoms:
```
data_CaNd2Cu4O8
_chemical_formula_sum 'Ca4 Nd8 Cu16 O32'
_cell_length_a 6.4811
_cell_length_b 10.7742
_cell_length_c 11.3963
_cell_angle_alpha 90.00
_cell_angle_beta 90.00
_cell_angle_gamma 90.00
_space_group_name_H-M_alt 'C c c e'
_space_group_IT_number 68
loop_
_space_group_symop_operation_xyz
'x,y,z'
'-x,-y,-z'
'-x+1/2,-y,z'
'x+1/2,y,-z'
'x+1/2,-y,-z+1/2'
'-x+1/2,y,z+1/2'
'-x,y,-z+1/2'
'x,-y,z+1/2'
'x+1/2,y+1/2,z'
'-x+1/2,-y+1/2,-z'
'-x,-y+1/2,z'
'x,y+1/2,-z'
'x,-y+1/2,-z+1/2'
'-x,y+1/2,z+1/2'
'-x+1/2,y+1/2,-z+1/2'
'x+1/2,-y+1/2,z+1/2'
loop_
_atom_site_label
_atom_site_fract_x
_atom_site_fract_y
_atom_site_fract_z
Ca1 0.0000 0.2500 0.2500
Nd1 0.0000 0.2500 0.5882
Cu1 0.2500 0.0000 0.0719
Cu2 0.2500 0.0000 0.3224
O1 0.1976 0.1251 0.4461
O2 0.2246 0.1236 0.6984
```

Most intense lines, 10 to 90 degrees two-theta, in order of rising 2θ:
- 2θ 17.77, rel. 278, hkl 1 1 1
- 2θ 28.47, rel. 723, hkl 1 1 3
- 2θ 32.24, rel. 1000, hkl 2 2 0
- 2θ 33.26, rel. 287, hkl 0 4 0
- 2θ 37.14, rel. 438, hkl 1 3 3
- 2θ 42.85, rel. 303, hkl 1 3 4
- 2θ 49.25, rel. 221, hkl 3 1 3
- 2θ 50.70, rel. 176, hkl 1 5 3
- 2θ 58.79, rel. 168, hkl 2 6 0
- 2θ 59.56, rel. 145, hkl 0 4 6

***

The following is a computed X-ray diffraction stick pattern of CaNd2CuO5. It was derived from the PBE geometry in Alexandria, using Cu Ka.
Neutral-atom scattering factors, no anomalous dispersion.

Cell and atoms:
```
data_CaNd2CuO5
_chemical_formula_sum 'Ca2 Nd4 Cu2 O10'
_cell_length_a 6.6485
_cell_length_b 6.6485
_cell_length_c 5.7596
_cell_angle_alpha 90.00
_cell_angle_beta 90.00
_cell_angle_gamma 90.00
_space_group_name_H-M_alt 'P 4/m b m'
_space_group_IT_number 127
_space_group_name_Hall '-P 4 2ab'
loop_
_atom_site_label
_atom_site_fract_x
_atom_site_fract_y
_atom_site_fract_z
Ca1 0.0000 0.0000 0.0000
Nd1 0.1715 0.3285 0.5000
Cu1 0.0000 0.5000 0.0000
O1 0.0000 0.0000 0.5000
O2 0.1445 0.6445 0.2361
```

Most intense lines, 10 to 90 degrees two-theta, in order of rising 2θ:
- 2θ 15.38, rel. 498, hkl 0 0 1
- 2θ 18.88, rel. 179, hkl 1 1 0
- 2θ 30.05, rel. 290, hkl 2 1 0
- 2θ 31.06, rel. 1000, hkl 0 0 2
- 2θ 33.93, rel. 783, hkl 2 1 1
- 2θ 43.76, rel. 551, hkl 2 1 2
- 2θ 45.95, rel. 222, hkl 3 1 1
- 2θ 57.11, rel. 238, hkl 4 1 0
- 2θ 59.53, rel. 184, hkl 4 1 1
- 2θ 66.45, rel. 151, hkl 4 1 2

***

The following is a computed X-ray diffraction stick pattern of Sr8Ca3NdTl2Cu8Pb2O28. It was derived from the PBE geometry in Alexandria, using Cu Ka.
Neutral-atom scattering factors, no anomalous dispersion.

Cell and atoms:
```
data_Sr8Ca3NdTl2Cu8Pb2O28
_chemical_formula_sum 'Sr32 Ca12 Nd4 Tl8 Cu32 Pb8 O112'
_cell_length_a 10.7772
_cell_length_b 10.7791
_cell_length_c 24.6345
_cell_angle_alpha 90.00
_cell_angle_beta 90.00
_cell_angle_gamma 90.00
_space_group_name_H-M_alt 'F m m m'
_space_group_IT_number 69
_space_group_name_Hall '-F 2 2'
loop_
_atom_site_label
_atom_site_fract_x
_atom_site_fract_y
_atom_site_fract_z
Sr1 0.0000 0.0000 0.1428
Sr2 0.0000 0.0000 0.3550
Sr3 0.2500 0.2500 0.1429
Ca1 0.0000 0.0000 0.0000
Ca2 0.2500 0.2500 0.0000
Nd1 0.0000 0.0000 0.5000
Tl1 0.2500 0.0000 0.2500
Cu1 0.0000 0.2484 0.0713
Cu2 0.2486 0.0000 0.0698
Pb1 0.0000 0.2500 0.2500
O1 0.0000 0.0000 0.2495
O2 0.0000 0.2492 0.3377
O3 0.1245 0.1243 0.4361
O4 0.1256 0.1253 0.0645
O5 0.2488 0.0000 0.3350
O6 0.2500 0.2500 0.2500
```

Most intense lines, 10 to 90 degrees two-theta, in order of rising 2θ:
- 2θ 24.45, rel. 185, hkl 2 2 2
- 2θ 27.53, rel. 362, hkl 2 2 4
- 2θ 32.05, rel. 1000, hkl 2 2 6
- 2θ 33.25, rel. 709, hkl 4 0 0
- 2θ 36.46, rel. 171, hkl 0 0 10
- 2θ 44.69, rel. 192, hkl 4 0 8
- 2θ 47.73, rel. 374, hkl 4 4 0
- 2θ 50.17, rel. 161, hkl 4 0 10
- 2θ 58.65, rel. 364, hkl 6 2 6
- 2θ 61.53, rel. 118, hkl 4 4 10

***

The following is a computed X-ray diffraction stick pattern of CaNdCu2Sn2. It was derived from the PBE geometry in Alexandria, using Cu Ka.
Neutral-atom scattering factors, no anomalous dispersion.

Cell and atoms:
```
data_CaNdCu2Sn2
_chemical_formula_sum 'Ca1 Nd1 Cu2 Sn2'
_cell_length_a 4.5875
_cell_length_b 4.5875
_cell_length_c 7.7271
_cell_angle_alpha 90.00
_cell_angle_beta 90.00
_cell_angle_gamma 120.00
_space_group_name_H-M_alt 'P -3 m 1'
_space_group_IT_number 164
_space_group_name_Hall '-P 3 2"'
loop_
_atom_site_label
_atom_site_fract_x
_atom_site_fract_y
_atom_site_fract_z
Ca1 0.0000 0.0000 0.0000
Nd1 0.0000 0.0000 0.5000
Cu1 0.3333 0.6667 0.7513
Sn1 0.3333 0.6667 0.2545
```

Most intense lines, 10 to 90 degrees two-theta, in order of rising 2θ:
- 2θ 11.45, rel. 145, hkl 0 0 1
- 2θ 25.21, rel. 230, hkl 1 0 1
- 2θ 32.32, rel. 1000, hkl 1 0 2
- 2θ 39.28, rel. 666, hkl 1 1 0
- 2θ 47.04, rel. 131, hkl 0 0 4
- 2θ 51.75, rel. 261, hkl 0 2 2
- 2θ 62.90, rel. 326, hkl 1 1 4
- 2θ 66.85, rel. 239, hkl 2 1 2
- 2θ 71.20, rel. 113, hkl 3 0 0
- 2θ 89.79, rel. 128, hkl 3 0 4

***

The following is a computed X-ray diffraction stick pattern of Ca2Cu5Ni5. It was derived from the PBE geometry in Alexandria, using Cu Ka.
Neutral-atom scattering factors, no anomalous dispersion.

Cell and atoms:
```
data_Ca2Cu5Ni5
_chemical_formula_sum 'Ca2 Cu5 Ni5'
_cell_length_a 4.0001
_cell_length_b 4.9800
_cell_length_c 8.6773
_cell_angle_alpha 90.00
_cell_angle_beta 90.00
_cell_angle_gamma 90.00
_space_group_name_H-M_alt 'P m m m'
_space_group_IT_number 47
loop_
_space_group_symop_operation_xyz
'x,y,z'
'-x,-y,-z'
'-x,-y,z'
'x,y,-z'
'x,-y,-z'
'-x,y,z'
'-x,y,-z'
'x,-y,z'
loop_
_atom_site_label
_atom_site_fract_x
_atom_site_fract_y
_atom_site_fract_z
Ca1 0.0000 0.0000 0.0000
Ca2 0.0000 0.5000 0.5000
Cu1 0.0000 0.0000 0.3267
Cu2 0.0000 0.5000 0.1672
Cu3 0.5000 0.0000 0.5000
Ni1 0.5000 0.2488 0.2464
Ni2 0.5000 0.5000 0.0000
```

Most intense lines, 10 to 90 degrees two-theta, in order of rising 2θ:
- 2θ 20.53, rel. 712, hkl 0 0 2
- 2θ 41.83, rel. 235, hkl 0 2 2
- 2θ 42.63, rel. 1000, hkl 1 1 3
- 2θ 42.78, rel. 480, hkl 1 2 0
- 2θ 45.34, rel. 485, hkl 2 0 0
- 2θ 47.69, rel. 266, hkl 1 0 4
- 2θ 47.87, rel. 613, hkl 1 2 2
- 2θ 69.37, rel. 208, hkl 1 3 3
- 2θ 76.11, rel. 180, hkl 0 2 6
- 2θ 81.90, rel. 188, hkl 3 1 3

***

The following is a computed X-ray diffraction stick pattern of Ca3Cu4Ni4. It was derived from the PBE geometry in Alexandria, using Cu Ka.
Neutral-atom scattering factors, no anomalous dispersion.

Cell and atoms:
```
data_Ca3Cu4Ni4
_chemical_formula_sum 'Ca6 Cu8 Ni8'
_cell_length_a 7.2814
_cell_length_b 7.2814
_cell_length_c 7.2814
_cell_angle_alpha 90.00
_cell_angle_beta 90.00
_cell_angle_gamma 90.00
_space_group_name_H-M_alt 'I -4 3 m'
_space_group_IT_number 217
_space_group_name_Hall 'I -4 2 3'
loop_
_atom_site_label
_atom_site_fract_x
_atom_site_fract_y
_atom_site_fract_z
Ca1 0.0000 0.0000 0.5000
Cu1 0.1985 0.1985 0.8015
Ni1 0.1174 0.1174 0.1174
```

Most intense lines, 10 to 90 degrees two-theta, in order of rising 2θ:
- 2θ 17.22, rel. 1000, hkl 1 1 0
- 2θ 34.85, rel. 980, hkl 2 2 0
- 2θ 39.12, rel. 804, hkl 3 1 0
- 2θ 46.68, rel. 938, hkl 3 2 1
- 2θ 53.38, rel. 745, hkl 4 1 1
- 2θ 59.55, rel. 188, hkl 3 3 2
- 2θ 62.49, rel. 172, hkl 4 2 2
- 2θ 73.59, rel. 159, hkl 4 4 0
- 2θ 81.48, rel. 300, hkl 6 1 1
- 2θ 89.22, rel. 185, hkl 6 2 2

***

The following is a computed X-ray diffraction stick pattern of Ca3Cu3Ni2. It was derived from the PBE geometry in Alexandria, using Cu Ka.
Neutral-atom scattering factors, no anomalous dispersion.

Cell and atoms:
```
data_Ca3Cu3Ni2
_chemical_formula_sum 'Ca12 Cu12 Ni8'
_cell_length_a 7.5870
_cell_length_b 14.7470
_cell_length_c 5.5345
_cell_angle_alpha 90.00
_cell_angle_beta 90.00
_cell_angle_gamma 90.00
_space_group_name_H-M_alt 'P n m a'
_space_group_IT_number 62
loop_
_space_group_symop_operation_xyz
'x,y,z'
'-x,-y,-z'
'-x+1/2,-y,z+1/2'
'x+1/2,y,-z+1/2'
'x+1/2,-y+1/2,-z+1/2'
'-x+1/2,y+1/2,z+1/2'
'-x,y+1/2,-z'
'x,-y+1/2,z'
loop_
_atom_site_label
_atom_site_fract_x
_atom_site_fract_y
_atom_site_fract_z
Ca1 0.0343 0.1046 0.1221
Ca2 0.1740 0.2500 0.6165
Cu1 0.1664 0.0358 0.6011
Cu2 0.1726 0.7500 0.5909
Ni1 0.1240 0.6068 0.3779
```

Most intense lines, 10 to 90 degrees two-theta, in order of rising 2θ:
- 2θ 12.00, rel. 190, hkl 0 2 0
- 2θ 19.86, rel. 334, hkl 1 0 1
- 2θ 24.22, rel. 203, hkl 0 3 1
- 2θ 33.92, rel. 343, hkl 2 4 0
- 2θ 36.54, rel. 242, hkl 0 6 0
- 2θ 37.71, rel. 481, hkl 2 4 1
- 2θ 39.18, rel. 1000, hkl 3 0 1
- 2θ 42.55, rel. 445, hkl 1 4 2
- 2θ 47.72, rel. 234, hkl 1 7 1
- 2θ 49.48, rel. 205, hkl 2 7 0

***

The following is a computed X-ray diffraction stick pattern of Ca2CuNi. It was derived from the PBE geometry in Alexandria, using Cu Ka.
Neutral-atom scattering factors, no anomalous dispersion.

Cell and atoms:
```
data_Ca2CuNi
_chemical_formula_sum 'Ca4 Cu2 Ni2'
_cell_length_a 5.7246
_cell_length_b 4.1826
_cell_length_c 8.1143
_cell_angle_alpha 90.00
_cell_angle_beta 110.50
_cell_angle_gamma 90.00
_space_group_name_H-M_alt 'P 1 21/m 1'
_space_group_IT_number 11
loop_
_space_group_symop_operation_xyz
'x,y,z'
'-x,-y,-z'
'-x,y+1/2,-z'
'x,-y+1/2,z'
loop_
_atom_site_label
_atom_site_fract_x
_atom_site_fract_y
_atom_site_fract_z
Ca1 0.2052 0.2500 0.4254
Ca2 0.2807 0.7500 0.0668
Cu1 0.3425 0.7500 0.7197
Ni1 0.1663 0.2500 0.7785
```

Most intense lines, 10 to 90 degrees two-theta, in order of rising 2θ:
- 2θ 16.56, rel. 618, hkl 1 0 -1
- 2θ 23.41, rel. 419, hkl 1 0 1
- 2θ 31.82, rel. 987, hkl 1 1 1
- 2θ 33.42, rel. 601, hkl 1 0 -3
- 2θ 39.94, rel. 1000, hkl 1 1 -3
- 2θ 40.00, rel. 555, hkl 2 1 -2
- 2θ 43.26, rel. 371, hkl 0 2 0
- 2θ 44.59, rel. 337, hkl 1 0 3
- 2θ 55.74, rel. 248, hkl 1 2 -3
- 2θ 63.87, rel. 210, hkl 1 2 3